Entry 1:
Theoretical X-ray powder pattern
Compound: HoGePt
Radiation: Cu Kα (weighted mean of Kα1 and Kα2)
Structure: DFT lattice parameters and positions (GGA-PBE)
No peak broadening, texture or thermal motion is included.

Structure:
```
data_HoGePt
_space_group_name_H-M_alt 'P n m a'
_space_group_IT_number 62
_space_group_name_Hall '-P 2ac 2n'
_cell_length_a 7.028
_cell_length_b 4.358
_cell_length_c 7.620
_cell_angle_alpha 90.00
_cell_angle_beta 90.00
_cell_angle_gamma 90.00
loop_
_atom_site_label
_atom_site_fract_x
_atom_site_fract_y
_atom_site_fract_z
Ho1 0.003 0.250 0.203
Ge1 0.190 0.750 0.409
Pt1 0.204 0.250 0.583
```

Top 12 peaks for 2θ from 10° to 80°, sorted by position:
hkl  2θ/deg  I/Imax
1 0 2  26.61  13
1 1 1  26.76  27
1 1 2  33.75  41
2 0 2  34.73  41
2 1 1  34.85  100
3 0 1  40.28  25
0 1 3  41.13  61
0 2 0  41.44  41
2 2 2  55.15  22
3 2 1  59.17  17
3 1 4  66.85  26
0 3 3  75.33  26

Entry 2:
Theoretical X-ray powder pattern
Compound: NaCaPrSeO6
Radiation: Cu Kα (weighted mean of Kα1 and Kα2)
Structure: DFT lattice parameters and positions (GGA-PBE)
No peak broadening, texture or thermal motion is included.

Structure:
```
data_NaCaPrSeO6
_space_group_name_H-M_alt 'F -4 3 m'
_space_group_IT_number 216
_space_group_name_Hall 'F -4 2 3'
_cell_length_a 7.988
_cell_length_b 7.988
_cell_length_c 7.988
_cell_angle_alpha 90.00
_cell_angle_beta 90.00
_cell_angle_gamma 90.00
loop_
_atom_site_label
_atom_site_fract_x
_atom_site_fract_y
_atom_site_fract_z
Na1 0.000 0.000 0.000
Ca1 0.250 0.250 0.750
Pr1 0.000 0.000 0.500
Se1 0.250 0.250 0.250
O1 0.024 0.250 0.250
```

Top 12 peaks for 2θ from 10° to 80°, sorted by position:
hkl  2θ/deg  I/Imax
1 1 1  19.25  57
2 2 0  31.68  100
3 1 1  37.34  29
2 2 2  39.06  11
4 0 0  45.42  38
3 3 1  49.76  12
4 2 2  56.43  37
5 1 1  60.20  11
4 4 0  66.18  22
5 3 1  69.64  10
6 2 0  75.24  18
5 3 3  78.53  4

Entry 3:
Theoretical X-ray powder pattern
Compound: Sm2Se3
Radiation: Cu Kα (weighted mean of Kα1 and Kα2)
Structure: DFT lattice parameters and positions (GGA-PBE)
No peak broadening, texture or thermal motion is included.

Structure:
```
data_Sm2Se3
_space_group_name_H-M_alt 'I -4 2 d'
_space_group_IT_number 122
_space_group_name_Hall 'I -4 2bw'
_cell_length_a 8.847
_cell_length_b 8.847
_cell_length_c 26.536
_cell_angle_alpha 90.00
_cell_angle_beta 90.00
_cell_angle_gamma 90.00
loop_
_atom_site_label
_atom_site_fract_x
_atom_site_fract_y
_atom_site_fract_z
Sm1 0.000 0.000 0.167
Sm2 0.119 0.750 0.625
Sm3 0.133 0.742 0.960
Se1 0.071 0.676 0.183
Se2 0.073 0.680 0.854
Se3 0.080 0.674 0.516
```

Top 12 peaks for 2θ from 10° to 80°, sorted by position:
hkl  2θ/deg  I/Imax
1 1 6  24.65  23
3 1 0  31.99  100
2 1 9  38.06  66
4 0 6  45.87  22
3 2 9  48.25  15
4 2 6  50.54  11
3 1 12  52.76  18
1 1 18  64.98  29
6 0 6  66.89  10
5 1 12  68.77  13
4 4 12  74.28  6
2 1 21  79.64  19

Entry 4:
Theoretical X-ray powder pattern
Compound: ZnH10C4N6Cl2O4
Radiation: Cu Kα (weighted mean of Kα1 and Kα2)
Structure: DFT lattice parameters and positions (GGA-PBE)
No peak broadening, texture or thermal motion is included.

Structure:
```
data_ZnH10C4N6Cl2O4
_space_group_name_H-M_alt 'P 1 21/c 1'
_space_group_IT_number 14
_space_group_name_Hall '-P 2ybc'
_cell_length_a 8.150
_cell_length_b 7.366
_cell_length_c 11.708
_cell_angle_alpha 90.00
_cell_angle_beta 124.81
_cell_angle_gamma 90.00
loop_
_atom_site_label
_atom_site_fract_x
_atom_site_fract_y
_atom_site_fract_z
Zn1 0.000 0.000 0.000
H1 0.117 0.098 0.481
H2 0.238 0.072 0.396
H3 0.299 0.690 0.850
H4 0.332 0.147 0.801
H5 0.400 0.572 0.290
C1 0.161 0.663 0.950
C2 0.234 0.547 0.375
N1 0.181 0.016 0.447
N2 0.239 0.735 0.392
N3 0.328 0.011 0.818
Cl1 0.329 0.055 0.242
O1 0.077 0.732 0.004
O2 0.150 0.062 0.909
```

Top 12 peaks for 2θ from 10° to 80°, sorted by position:
hkl  2θ/deg  I/Imax
1 0 0  13.23  68
0 1 1  15.15  68
1 1 -1  16.30  42
0 0 2  18.46  17
1 1 -2  19.56  14
0 2 0  24.16  41
2 1 -3  28.03  57
1 0 2  28.38  100
3 0 -4  36.05  16
1 2 2  37.61  14
0 3 1  37.83  19
1 1 3  39.42  15

> Which formula does entry 2 have?

NaCaPrSeO6

> Number 1 is which compound?

HoGePt